[1]
ErTlInPb: simulated powder X-ray diffraction pattern (Cu Kα X-rays), based on the PBE geometry in Alexandria.

```
data_ErTlInPb
_symmetry_space_group_name_H-M 'P m m m'
_symmetry_Int_Tables_number 47
_cell_length_a 4.556
_cell_length_b 4.734
_cell_length_c 4.976
_cell_angle_alpha 90.00
_cell_angle_beta 90.00
_cell_angle_gamma 90.00
loop_
_symmetry_equiv_pos_as_xyz
'x,y,z'
'-x,-y,-z'
'-x,-y,z'
'x,y,-z'
'x,-y,-z'
'-x,y,z'
'-x,y,-z'
'x,-y,z'
loop_
_atom_site_label
_atom_site_type_symbol
_atom_site_fract_x
_atom_site_fract_y
_atom_site_fract_z
_atom_site_occupancy
Er1 Er 0.000 0.000 0.000 1
Tl1 Tl 0.500 0.000 0.500 1
In1 In 0.000 0.500 0.500 1
Pb1 Pb 0.500 0.500 0.000 1
```

Principal peaks in the range 2θ = 15–90°, by angle:
hkl 1 1 1, 2θ 32.68, d = 2.740 Å, intensity 100
hkl 0 0 2, 2θ 36.10, d = 2.488 Å, intensity 19
hkl 0 2 0, 2θ 38.01, d = 2.367 Å, intensity 17
hkl 2 0 0, 2θ 39.56, d = 2.278 Å, intensity 15
hkl 0 2 2, 2θ 53.43, d = 1.715 Å, intensity 13
hkl 2 0 2, 2θ 54.62, d = 1.680 Å, intensity 12
hkl 1 1 3, 2θ 62.76, d = 1.480 Å, intensity 16
hkl 1 3 1, 2θ 65.32, d = 1.428 Å, intensity 14
hkl 3 1 1, 2θ 67.44, d = 1.389 Å, intensity 13
hkl 2 2 2, 2θ 68.48, d = 1.370 Å, intensity 12



[2]
Er5TmIn2Pb: simulated powder X-ray diffraction pattern (Cu Kα X-rays), based on the PBE geometry in Alexandria.

```
data_Er5TmIn2Pb
_symmetry_space_group_name_H-M 'I 4/m c m'
_symmetry_Int_Tables_number 140
_symmetry_space_group_name_Hall '-I 4 2c'
_cell_length_a 8.473
_cell_length_b 8.473
_cell_length_c 14.286
_cell_angle_alpha 90.00
_cell_angle_beta 90.00
_cell_angle_gamma 90.00
loop_
_atom_site_label
_atom_site_type_symbol
_atom_site_fract_x
_atom_site_fract_y
_atom_site_fract_z
_atom_site_occupancy
Er1 Er 0.000 0.000 0.000 1
Er2 Er 0.209 0.291 0.133 1
Tm1 Tm 0.000 0.500 0.250 1
In1 In 0.111 0.389 0.500 1
Pb1 Pb 0.000 0.000 0.250 1
```

Principal peaks in the range 2θ = 15–90°, by angle:
hkl 2 2 0, 2θ 29.83, d = 2.995 Å, intensity 54
hkl 2 1 3, 2θ 30.14, d = 2.965 Å, intensity 32
hkl 2 0 4, 2θ 32.80, d = 2.731 Å, intensity 100
hkl 3 1 0, 2θ 33.45, d = 2.679 Å, intensity 12
hkl 3 2 1, 2θ 38.84, d = 2.319 Å, intensity 12
hkl 2 1 5, 2θ 39.50, d = 2.281 Å, intensity 9
hkl 4 0 2, 2θ 44.57, d = 2.033 Å, intensity 19
hkl 0 0 8, 2θ 51.15, d = 1.786 Å, intensity 11
hkl 4 2 4, 2θ 54.86, d = 1.674 Å, intensity 22
hkl 2 2 8, 2θ 60.34, d = 1.534 Å, intensity 14



[3]
ErTmInPb: simulated powder X-ray diffraction pattern (Cu Kα X-rays), based on the PBE geometry in Alexandria.

```
data_ErTmInPb
_symmetry_space_group_name_H-M 'I -4 m 2'
_symmetry_Int_Tables_number 119
_symmetry_space_group_name_Hall 'I -4 -2'
_cell_length_a 4.938
_cell_length_b 4.938
_cell_length_c 8.773
_cell_angle_alpha 90.00
_cell_angle_beta 90.00
_cell_angle_gamma 90.00
loop_
_atom_site_label
_atom_site_type_symbol
_atom_site_fract_x
_atom_site_fract_y
_atom_site_fract_z
_atom_site_occupancy
Er1 Er 0.000 0.000 0.000 1
Tm1 Tm 0.000 0.000 0.500 1
In1 In 0.000 0.500 0.750 1
Pb1 Pb 0.000 0.500 0.250 1
```

Principal peaks in the range 2θ = 15–90°, by angle:
hkl 1 1 2, 2θ 32.78, d = 2.732 Å, intensity 100
hkl 2 0 0, 2θ 36.39, d = 2.469 Å, intensity 38
hkl 0 0 4, 2θ 41.16, d = 2.193 Å, intensity 13
hkl 2 2 0, 2θ 52.41, d = 1.746 Å, intensity 13
hkl 2 0 4, 2θ 56.09, d = 1.640 Å, intensity 22
hkl 3 1 2, 2θ 63.21, d = 1.471 Å, intensity 31
hkl 2 2 4, 2θ 68.73, d = 1.366 Å, intensity 12
hkl 1 1 6, 2θ 69.73, d = 1.349 Å, intensity 11
hkl 3 3 2, 2θ 86.52, d = 1.125 Å, intensity 7
hkl 4 2 0, 2θ 88.57, d = 1.104 Å, intensity 6



[4]
Er2InPd6: simulated powder X-ray diffraction pattern (Cu Kα X-rays), based on the PBE geometry in Alexandria.

```
data_Er2InPd6
_symmetry_space_group_name_H-M 'C m m m'
_symmetry_Int_Tables_number 65
_symmetry_space_group_name_Hall '-C 2 2'
_cell_length_a 7.349
_cell_length_b 14.307
_cell_length_c 3.305
_cell_angle_alpha 90.00
_cell_angle_beta 90.00
_cell_angle_gamma 90.00
loop_
_atom_site_label
_atom_site_type_symbol
_atom_site_fract_x
_atom_site_fract_y
_atom_site_fract_z
_atom_site_occupancy
Er1 Er 0.000 0.191 0.000 1
In1 In 0.000 0.500 0.500 1
Pd1 Pd 0.193 0.000 0.000 1
Pd2 Pd 0.196 0.341 0.500 1
```

Principal peaks in the range 2θ = 15–90°, by angle:
hkl 1 1 1, 2θ 30.30, d = 2.950 Å, intensity 68
hkl 0 4 1, 2θ 37.03, d = 2.427 Å, intensity 22
hkl 0 6 0, 2θ 37.73, d = 2.384 Å, intensity 56
hkl 2 2 1, 2θ 38.75, d = 2.324 Å, intensity 100
hkl 3 3 0, 2θ 41.44, d = 2.179 Å, intensity 89
hkl 1 5 1, 2θ 43.61, d = 2.075 Å, intensity 49
hkl 2 4 1, 2θ 44.74, d = 2.025 Å, intensity 34
hkl 0 0 2, 2θ 55.61, d = 1.653 Å, intensity 24
hkl 2 8 1, 2θ 64.44, d = 1.446 Å, intensity 21
hkl 3 3 2, 2θ 71.67, d = 1.317 Å, intensity 34



[5]
ErInPd14: simulated powder X-ray diffraction pattern (Cu Kα X-rays), based on the PBE geometry in Alexandria.

```
data_ErInPd14
_symmetry_space_group_name_H-M 'P 4/m m m'
_symmetry_Int_Tables_number 123
_symmetry_space_group_name_Hall '-P 4 2'
_cell_length_a 5.702
_cell_length_b 5.702
_cell_length_c 7.948
_cell_angle_alpha 90.00
_cell_angle_beta 90.00
_cell_angle_gamma 90.00
loop_
_atom_site_label
_atom_site_type_symbol
_atom_site_fract_x
_atom_site_fract_y
_atom_site_fract_z
_atom_site_occupancy
Er1 Er 0.000 0.000 0.000 1
In1 In 0.500 0.500 0.000 1
Pd1 Pd 0.000 0.000 0.500 1
Pd2 Pd 0.000 0.500 0.000 1
Pd3 Pd 0.000 0.500 0.500 1
Pd4 Pd 0.251 0.251 0.255 1
Pd5 Pd 0.500 0.500 0.500 1
```

Principal peaks in the range 2θ = 15–90°, by angle:
hkl 2 0 2, 2θ 38.88, d = 2.316 Å, intensity 100
hkl 2 2 0, 2θ 44.97, d = 2.016 Å, intensity 33
hkl 0 0 4, 2θ 45.66, d = 1.987 Å, intensity 16
hkl 4 0 0, 2θ 65.48, d = 1.425 Å, intensity 10
hkl 2 2 4, 2θ 66.02, d = 1.415 Å, intensity 20
hkl 4 2 2, 2θ 78.84, d = 1.214 Å, intensity 24
hkl 2 0 6, 2θ 79.84, d = 1.201 Å, intensity 12
hkl 4 0 4, 2θ 83.46, d = 1.158 Å, intensity 11



[6]
PmEr6In6: simulated powder X-ray diffraction pattern (Cu Kα X-rays), based on the PBE geometry in Alexandria.

```
data_PmEr6In6
_symmetry_space_group_name_H-M 'P 6/m m m'
_symmetry_Int_Tables_number 191
_symmetry_space_group_name_Hall '-P 6 2'
_cell_length_a 6.2177
_cell_length_b 6.2177
_cell_length_c 10.7085
_cell_angle_alpha 90.00
_cell_angle_beta 90.00
_cell_angle_gamma 120.00
loop_
_atom_site_label
_atom_site_type_symbol
_atom_site_fract_x
_atom_site_fract_y
_atom_site_fract_z
_atom_site_occupancy
Pm1 Pm 0.0000 0.0000 0.0000 1
Er1 Er 0.0000 0.0000 0.3413 1
Er2 Er 0.3333 0.6667 0.0000 1
Er3 Er 0.3333 0.6667 0.5000 1
In1 In 0.0000 0.5000 0.2454 1
```

Principal peaks in the range 2θ = 15–90°, by angle:
hkl 1 1 0, 2θ 28.72, d = 3.109 Å, intensity 51
hkl 1 0 3, 2θ 30.04, d = 2.975 Å, intensity 27
hkl 1 1 2, 2θ 33.31, d = 2.690 Å, intensity 100
hkl 0 0 4, 2θ 33.47, d = 2.677 Å, intensity 23
hkl 2 0 2, 2θ 37.39, d = 2.405 Å, intensity 64
hkl 1 0 4, 2θ 37.52, d = 2.397 Å, intensity 25
hkl 3 0 2, 2θ 53.87, d = 1.702 Å, intensity 18
hkl 2 2 0, 2θ 59.46, d = 1.554 Å, intensity 27
hkl 1 1 6, 2θ 59.74, d = 1.548 Å, intensity 29
hkl 4 0 2, 2θ 72.42, d = 1.305 Å, intensity 16



[7]
Pm5Er2In: simulated powder X-ray diffraction pattern (Cu Kα X-rays), based on the PBE geometry in Alexandria.

```
data_Pm5Er2In
_symmetry_space_group_name_H-M 'C m m m'
_symmetry_Int_Tables_number 65
_symmetry_space_group_name_Hall '-C 2 2'
_cell_length_a 9.236
_cell_length_b 14.978
_cell_length_c 3.700
_cell_angle_alpha 90.00
_cell_angle_beta 90.00
_cell_angle_gamma 90.00
loop_
_atom_site_label
_atom_site_type_symbol
_atom_site_fract_x
_atom_site_fract_y
_atom_site_fract_z
_atom_site_occupancy
Pm1 Pm 0.000 0.000 0.000 1
Pm2 Pm 0.228 0.378 0.500 1
Er1 Er 0.000 0.232 0.000 1
In1 In 0.000 0.500 0.000 1
```

Principal peaks in the range 2θ = 15–90°, by angle:
hkl 2 4 0, 2θ 30.74, d = 2.908 Å, intensity 96
hkl 2 0 1, 2θ 30.97, d = 2.888 Å, intensity 100
hkl 0 4 1, 2θ 34.06, d = 2.632 Å, intensity 76
hkl 4 0 0, 2θ 39.01, d = 2.309 Å, intensity 24
hkl 0 8 0, 2θ 48.63, d = 1.872 Å, intensity 12
hkl 0 0 2, 2θ 49.25, d = 1.850 Å, intensity 14
hkl 4 4 1, 2θ 52.74, d = 1.736 Å, intensity 37
hkl 2 8 1, 2θ 58.77, d = 1.571 Å, intensity 29
hkl 2 4 2, 2θ 59.18, d = 1.561 Å, intensity 30
hkl 4 0 2, 2θ 64.54, d = 1.444 Å, intensity 11